# V2Cu2BiO8
Computed powder XRD pattern, Cu Ka. Input: DFT lattice parameters and positions (PBE+U).
Peak positions follow from Bragg's law for the DFT cell and can differ from measured ones.

Atomic structure:
```
V2Cu2BiO8
1.0
3.115 0.000 0.000
1.246 6.871 0.000
1.400 0.079 6.953
V Cu Bi O
2 2 1 8
direct
0.000 0.000 0.000
0.494 0.664 0.301
0.312 0.375 0.961
0.793 0.703 0.676
0.192 0.183 0.485
0.032 0.214 0.820
0.299 0.846 0.533
0.306 0.563 0.775
0.365 0.152 0.138
0.606 0.892 0.883
0.614 0.504 0.109
0.969 0.827 0.207
0.983 0.529 0.436
```

Top 12 peaks for 2θ = 10–90°, in order of falling intensity:
| d (Å) | two_theta | I_rel | h k l |
| --- | --- | --- | --- |
| 3.091 | 28.89 | 100 | 0 1 -2 |
| 3.116 | 28.65 | 84 | 0 1 2 |
| 3.066 | 29.13 | 80 | 0 2 -1 |
| 2.595 | 34.56 | 62 | 1 -1 0 |
| 2.543 | 35.29 | 52 | 1 1 -1 |
| 2.476 | 36.29 | 50 | 1 2 1 |
| 2.528 | 35.51 | 49 | 1 0 2 |
| 6.953 | 12.73 | 48 | 0 0 1 |
| 6.870 | 12.89 | 44 | 0 1 0 |
| 3.476 | 25.63 | 41 | 0 0 2 |
| 3.435 | 25.94 | 41 | 0 2 0 |
| 1.638 | 56.16 | 30 | 0 3 3 |